Structure and theoretical powder X-ray diffraction pattern of Sr3Li2Ca2 (DFT lattice parameters and positions (PBE); λ = 1.5418 Å (Cu Kα)).

Top 12 peaks for 10° ≤ 2θ ≤ 80°, sorted by position:
d/Å, I/Imax
5.229, 21
4.308, 23
4.243, 21
3.714, 69
3.295, 100
3.037, 38
3.023, 79
2.670, 29
2.153, 19
2.001, 47
1.919, 31
1.842, 18

```
Sr3Li2Ca2
1.0
2.6698 -12.9235 0.0000
2.6698 12.9235 0.0000
0.0000 0.0000 4.2425
Sr Li Ca
3 2 2
Cartesian
0.0000 0.0000 0.0000
2.6698 8.5405 0.0000
2.6698 -8.5405 0.0000
2.6698 5.6132 2.1213
2.6698 -5.6132 2.1213
2.6698 2.0885 2.1213
2.6698 -2.0885 2.1213
```